Structure and simulated powder X-ray diffraction pattern of Ca3RhI3 (a PBE-relaxed structure; copper Kα).

Structure:
```
Ca3RhI3
1.0
-6.1861 6.1861 6.1861
6.1861 -6.1861 6.1861
6.1861 6.1861 -6.1861
Ca Rh I
12 4 12
Cartesian
1.7628 1.5465 -1.3303
7.5164 1.7628 -1.5465
1.5465 -1.3303 1.7628
4.8558 4.4233 -1.5465
4.4233 1.5465 1.3303
-1.3303 1.7628 1.5465
4.4233 -1.5465 4.8558
1.5465 1.3303 4.4233
1.3303 4.4233 1.5465
1.7628 -1.5465 7.5164
-1.5465 7.5164 1.7628
-1.5465 4.8558 4.4233
4.6396 1.5465 -1.5465
1.5465 1.5465 1.5465
1.5465 -1.5465 4.6396
-1.5465 4.6396 1.5465
7.7326 1.5041 1.5890
7.7326 -1.5041 4.5971
4.5971 7.7326 -1.5041
4.6821 1.5890 4.6396
4.6396 4.6821 1.5890
1.5890 7.7326 1.5041
7.6902 4.5971 4.6396
1.5890 4.6396 4.6821
1.5041 1.5890 7.7326
4.6396 7.6902 4.5971
-1.5041 4.5971 7.7326
4.5971 4.6396 7.6902
```

Main lines, low angle first (10° ≤ 2θ ≤ 90°):
2θ (°), intensity
24.9, 69
27.0, 5
28.9, 100
41.3, 72
48.8, 36
51.2, 25
59.8, 11
65.8, 16
67.7, 29
75.3, 21
80.7, 13
89.7, 7